No. 1
Diffraction record for DyLuAg2. The powder XRD pattern is simulated, not measured: it uses DFT lattice parameters and positions (GGA-PBE) and Cu Kα X-rays.

Cell and atoms:
```
data_DyLuAg2
_space_group_name_H-M_alt 'F m -3 m'
_space_group_IT_number 225
_space_group_name_Hall '-F 4 2 3'
_cell_length_a 7.217
_cell_length_b 7.217
_cell_length_c 7.217
_cell_angle_alpha 90.00
_cell_angle_beta 90.00
_cell_angle_gamma 90.00
loop_
_atom_site_label
_atom_site_type_symbol
_atom_site_fract_x
_atom_site_fract_y
_atom_site_fract_z
Dy1 Dy 0.000 0.000 0.000
Lu1 Lu 0.000 0.000 0.500
Ag1 Ag 0.250 0.250 0.250
```

Main lines, low angle first (10° ≤ 2θ ≤ 90°):
hkl 2 0 0, 2θ 24.67, d = 3.609 Å, I = 4; hkl 2 2 0, 2θ 35.17, d = 2.552 Å, I = 100; hkl 2 2 2, 2θ 43.43, d = 2.083 Å, I = 1; hkl 4 0 0, 2θ 50.59, d = 1.804 Å, I = 18; hkl 4 2 0, 2θ 57.07, d = 1.614 Å, I = 2; hkl 4 2 2, 2θ 63.11, d = 1.473 Å, I = 36; hkl 4 4 0, 2θ 74.35, d = 1.276 Å, I = 11; hkl 6 0 0, 2θ 79.72, d = 1.203 Å, I = 1; hkl 6 2 0, 2θ 84.99, d = 1.141 Å, I = 16

No. 2
Diffraction record for DyMgAg2. The powder XRD pattern is simulated, not measured: it uses DFT lattice parameters and positions (GGA-PBE) and Cu Kα X-rays.

Cell and atoms:
```
data_DyMgAg2
_space_group_name_H-M_alt 'F m -3 m'
_space_group_IT_number 225
_space_group_name_Hall '-F 4 2 3'
_cell_length_a 7.016
_cell_length_b 7.016
_cell_length_c 7.016
_cell_angle_alpha 90.00
_cell_angle_beta 90.00
_cell_angle_gamma 90.00
loop_
_atom_site_label
_atom_site_type_symbol
_atom_site_fract_x
_atom_site_fract_y
_atom_site_fract_z
Dy1 Dy 0.000 0.000 0.000
Mg1 Mg 0.000 0.000 0.500
Ag1 Ag 0.250 0.250 0.250
```

Main lines, low angle first (10° ≤ 2θ ≤ 90°):
hkl 1 1 1, 2θ 21.94, d = 4.051 Å, I = 25; hkl 2 2 0, 2θ 36.21, d = 2.481 Å, I = 100; hkl 3 1 1, 2θ 42.74, d = 2.115 Å, I = 14; hkl 4 0 0, 2θ 52.15, d = 1.754 Å, I = 17; hkl 3 3 1, 2θ 57.23, d = 1.610 Å, I = 6; hkl 4 2 2, 2θ 65.13, d = 1.432 Å, I = 34; hkl 5 1 1, 2θ 69.63, d = 1.350 Å, I = 4; hkl 4 4 0, 2θ 76.86, d = 1.240 Å, I = 11; hkl 5 3 1, 2θ 81.09, d = 1.186 Å, I = 4; hkl 6 2 0, 2θ 88.04, d = 1.109 Å, I = 15

No. 3
Diffraction record for DyMgAg. The powder XRD pattern is simulated, not measured: it uses DFT lattice parameters and positions (GGA-PBE) and Cu Kα X-rays.

Cell and atoms:
```
data_DyMgAg
_space_group_name_H-M_alt 'P -6 2 m'
_space_group_IT_number 189
_space_group_name_Hall 'P -6 -2'
_cell_length_a 7.6092
_cell_length_b 7.6092
_cell_length_c 4.2733
_cell_angle_alpha 90.00
_cell_angle_beta 90.00
_cell_angle_gamma 120.00
loop_
_atom_site_label
_atom_site_type_symbol
_atom_site_fract_x
_atom_site_fract_y
_atom_site_fract_z
Dy1 Dy 0.0000 0.4142 0.0000
Mg1 Mg 0.0000 0.7560 0.5000
Ag1 Ag 0.0000 0.0000 0.0000
Ag2 Ag 0.3333 0.6667 0.5000
```

Main lines, low angle first (10° ≤ 2θ ≤ 90°):
hkl 1 1 0, 2θ 23.38, d = 3.805 Å, I = 33; hkl 2 0 0, 2θ 27.06, d = 3.295 Å, I = 24; hkl 1 1 1, 2θ 31.48, d = 2.842 Å, I = 83; hkl 2 0 1, 2θ 34.37, d = 2.609 Å, I = 100; hkl 2 1 0, 2θ 36.06, d = 2.491 Å, I = 22; hkl 3 0 0, 2θ 41.09, d = 2.197 Å, I = 27; hkl 2 1 1, 2θ 41.99, d = 2.152 Å, I = 24; hkl 0 0 2, 2θ 42.30, d = 2.137 Å, I = 24; hkl 3 1 1, 2θ 54.61, d = 1.680 Å, I = 24; hkl 3 2 1, 2θ 65.49, d = 1.425 Å, I = 23

No. 4
Diffraction record for DyTa5Ag2O15. The powder XRD pattern is simulated, not measured: it uses DFT lattice parameters and positions (GGA-PBE) and Cu Kα X-rays.

Cell and atoms:
```
data_DyTa5Ag2O15
_space_group_name_H-M_alt 'P 4/m b m'
_space_group_IT_number 127
_space_group_name_Hall '-P 4 2ab'
_cell_length_a 12.595
_cell_length_b 12.595
_cell_length_c 3.917
_cell_angle_alpha 90.00
_cell_angle_beta 90.00
_cell_angle_gamma 90.00
loop_
_atom_site_label
_atom_site_type_symbol
_atom_site_fract_x
_atom_site_fract_y
_atom_site_fract_z
Dy1 Dy 0.000 0.000 0.000
Ta1 Ta 0.000 0.500 0.500
Ta2 Ta 0.079 0.211 0.500
Ag1 Ag 0.172 0.672 0.000
O1 O 0.000 0.500 0.000
O2 O 0.001 0.659 0.500
O3 O 0.057 0.870 0.500
O4 O 0.080 0.189 0.000
O5 O 0.224 0.276 0.500
```

Main lines, low angle first (10° ≤ 2θ ≤ 90°):
hkl 0 0 1, 2θ 22.70, d = 3.917 Å, I = 29; hkl 3 2 0, 2θ 25.50, d = 3.493 Å, I = 40; hkl 2 1 1, 2θ 27.74, d = 3.216 Å, I = 54; hkl 4 1 0, 2θ 29.24, d = 3.055 Å, I = 73; hkl 2 2 1, 2θ 30.39, d = 2.941 Å, I = 24; hkl 4 2 0, 2θ 31.77, d = 2.816 Å, I = 45; hkl 3 1 1, 2θ 32.05, d = 2.793 Å, I = 100; hkl 3 2 1, 2θ 34.40, d = 2.607 Å, I = 31; hkl 0 0 2, 2θ 46.36, d = 1.958 Å, I = 28; hkl 5 5 1, 2θ 56.78, d = 1.621 Å, I = 42

Copy entry 1 word for word.
Diffraction record for DyLuAg2. The powder XRD pattern is simulated, not measured: it uses DFT lattice parameters and positions (GGA-PBE) and Cu Kα X-rays.

Cell and atoms:
```
data_DyLuAg2
_space_group_name_H-M_alt 'F m -3 m'
_space_group_IT_number 225
_space_group_name_Hall '-F 4 2 3'
_cell_length_a 7.217
_cell_length_b 7.217
_cell_length_c 7.217
_cell_angle_alpha 90.00
_cell_angle_beta 90.00
_cell_angle_gamma 90.00
loop_
_atom_site_label
_atom_site_type_symbol
_atom_site_fract_x
_atom_site_fract_y
_atom_site_fract_z
Dy1 Dy 0.000 0.000 0.000
Lu1 Lu 0.000 0.000 0.500
Ag1 Ag 0.250 0.250 0.250
```

Main lines, low angle first (10° ≤ 2θ ≤ 90°):
hkl 2 0 0, 2θ 24.67, d = 3.609 Å, I = 4; hkl 2 2 0, 2θ 35.17, d = 2.552 Å, I = 100; hkl 2 2 2, 2θ 43.43, d = 2.083 Å, I = 1; hkl 4 0 0, 2θ 50.59, d = 1.804 Å, I = 18; hkl 4 2 0, 2θ 57.07, d = 1.614 Å, I = 2; hkl 4 2 2, 2θ 63.11, d = 1.473 Å, I = 36; hkl 4 4 0, 2θ 74.35, d = 1.276 Å, I = 11; hkl 6 0 0, 2θ 79.72, d = 1.203 Å, I = 1; hkl 6 2 0, 2θ 84.99, d = 1.141 Å, I = 16